(1)
This entry pairs a crystal structure of Sr4TbTh3As8 with its simulated XRD peak list. Radiation: Cu Kα, 1.54184 Å. Structure: the GGA-PBE geometry in Alexandria.
No peak broadening, texture or thermal motion is included.

Principal peaks in the range 2θ = 15–90°, by intensity:
2θ/deg	I (rel.)
28.91	100.0
41.56	38.1
41.13	37.2
51.42	20.2
68.18	17.4
67.56	16.1
25.06	13.7
75.55	12.5
59.91	12.3
24.00	9.8

Crystal structure
a b c (Å): 8.6908 8.6908 21.6106
angles (deg): 90.00 90.00 120.00
Space group R-3m (No. 166, hexagonal axes)
Inequivalent atoms, fractional coordinates:
Sr (0.0000, 0.0000, 0.0000)
Sr (0.0000, 0.5000, 0.0000)
Tb (0.0000, 0.0000, 0.5000)
Th (0.0000, 0.5000, 0.5000)
As (0.0000, 0.0000, 0.2425)
As (0.0013, 0.5007, 0.2421)



(2)
This entry pairs a crystal structure of NaEr2PaO6 with its simulated XRD peak list. Radiation: Cu Kα, 1.54184 Å. Structure: the GGA-PBE geometry in Alexandria.
No peak broadening, texture or thermal motion is included.

Principal peaks in the range 2θ = 15–90°, by intensity:
2θ/deg	I (rel.)
30.55	100.0
29.28	92.4
18.45	48.5
47.33	42.8
53.52	38.7
42.83	38.5
21.04	30.8
54.31	29.1
63.61	27.1
35.38	24.4

Crystal structure
a b c (Å): 5.8517 5.8517 15.2770
angles (deg): 90.00 90.00 120.00
Space group R3 (No. 146, hexagonal axes)
Inequivalent atoms, fractional coordinates:
Na (0.0000, 0.0000, 0.0000)
Er (0.0000, 0.0000, 0.2721)
Er (0.0000, 0.0000, 0.7796)
Pa (0.0000, 0.0000, 0.4825)
O (0.0029, 0.3161, 0.8735)
O (0.0402, 0.7482, 0.3846)



(3)
This entry pairs a crystal structure of Dy8ErTm4 with its simulated XRD peak list. Radiation: Cu Kα, 1.54184 Å. Structure: the GGA-PBE geometry in Alexandria.
No peak broadening, texture or thermal motion is included.

Principal peaks in the range 2θ = 15–90°, by intensity:
2θ/deg	I (rel.)
31.63	100.0
33.15	35.2
39.16	30.1
50.91	28.1
29.35	25.5
59.86	18.5
28.93	15.0
52.49	13.9
61.19	13.0
83.54	9.6

Crystal structure
a b c (Å): 7.1742 7.1742 27.3848
angles (deg): 90.00 90.00 120.00
Space group R-3m (No. 166, hexagonal axes)
Inequivalent atoms, fractional coordinates:
Dy (0.0000, 0.0000, 0.2146)
Dy (0.0330, 0.5165, 0.7657)
Er (0.0000, 0.0000, 0.5000)
Tm (0.0000, 0.0000, 0.0000)
Tm (0.0000, 0.5000, 0.0000)